For LaNdYHo2, a GGA-PBE-relaxed structure gives the calculated XRD peak list in this record (CuKα).
Neutral-atom scattering factors, no anomalous dispersion.

Most intense lines, 10° ≤ 2θ ≤ 80°, low angle first:
index  2θ/deg  intensity
0 2 0  15.2  53
0 2 2  29.1  59
0 4 0  30.8  69
2 0 2  32.6  100
1 3 2  35.6  58
2 4 2  45.4  69

Crystal structure
Unit cell a=8.437 b=11.622 c=7.243 alpha=90.00 beta=90.00 gamma=90.00
Space group Cmcm (No. 63)
Asymmetric unit:
La  0.000  0.229  0.250
Nd  0.000  0.492  0.250
Y  0.000  0.223  0.750
Ho  0.187  0.000  0.000

***

For Si23F, a GGA-PBE-relaxed structure gives the calculated XRD peak list in this record (CuKα).
Neutral-atom scattering factors, no anomalous dispersion.

Most intense lines, 10° ≤ 2θ ≤ 80°, low angle first:
index  2θ/deg  intensity
2 1 0  19.5  91
2 1 1  21.3  40
3 2 1  32.9  100
4 1 0  36.3  31
5 3 0  52.3  67
5 3 2  55.6  47

Crystal structure
Unit cell a=10.196 b=10.196 c=10.196 alpha=90.00 beta=90.00 gamma=90.00
Space group Pm-3n (No. 223)
Asymmetric unit:
Si  0.000  0.116  0.308
Si  0.000  0.250  0.500
Si  0.182  0.182  0.182
F  0.000  0.000  0.000

***

For TmAl6Cu4, a GGA-PBE-relaxed structure gives the calculated XRD peak list in this record (CuKα).
Neutral-atom scattering factors, no anomalous dispersion.

Most intense lines, 10° ≤ 2θ ≤ 80°, low angle first:
index  2θ/deg  intensity
0 0 2  19.6  68
1 1 0  19.9  60
1 1 2  28.0  46
2 1 1  33.2  100
2 1 3  43.9  69
3 0 1  44.2  76

Crystal structure
Unit cell a=6.315 b=6.315 c=9.071 alpha=90.00 beta=90.00 gamma=90.00
Space group I-42m (No. 121)
Asymmetric unit:
Tm  0.000  0.000  0.000
Al  0.000  0.500  0.000
Al  0.193  0.193  0.704
Cu  0.166  0.166  0.423

***

For DyY2Er9, a GGA-PBE-relaxed structure gives the calculated XRD peak list in this record (CuKα).
Neutral-atom scattering factors, no anomalous dispersion.

Most intense lines, 10° ≤ 2θ ≤ 80°, low angle first:
index  2θ/deg  intensity
1 1 3  31.1  100
2 0 0  36.1  51
2 2 0  51.9  36
3 1 3  61.8  42
2 2 6  64.9  12
4 0 0  76.5  6

Crystal structure
Unit cell a=4.980 b=4.980 c=14.939 alpha=90.00 beta=90.00 gamma=90.00
Space group P4/mmm (No. 123)
Asymmetric unit:
Dy  0.000  0.000  0.000
Y  0.000  0.000  0.333
Er  0.000  0.500  0.166
Er  0.000  0.500  0.500
Er  0.500  0.500  0.000
Er  0.500  0.500  0.333

***

For RbIn2TcMo, a GGA-PBE-relaxed structure gives the calculated XRD peak list in this record (CuKα).
Neutral-atom scattering factors, no anomalous dispersion.

Most intense lines, 10° ≤ 2θ ≤ 80°, low angle first:
index  2θ/deg  intensity
1 1 1  29.8  100
2 0 0  33.3  100
0 0 2  37.0  37
2 2 0  47.8  35
2 0 2  50.6  59
2 2 2  62.0  32

Crystal structure
Unit cell a=5.381 b=5.381 c=4.857 alpha=90.00 beta=90.00 gamma=90.00
Space group P4/mmm (No. 123)
Asymmetric unit:
Rb  0.000  0.000  0.000
In  0.000  0.500  0.500
Tc  0.500  0.500  0.500
Mo  0.500  0.500  0.000

***

For InTePb, a GGA-PBE-relaxed structure gives the calculated XRD peak list in this record (CuKα).
Neutral-atom scattering factors, no anomalous dispersion.

Most intense lines, 10° ≤ 2θ ≤ 80°, low angle first:
index  2θ/deg  intensity
1 1 1  20.4  35
2 0 0  23.6  47
2 1 1  29.0  33
2 2 0  33.7  100
3 0 1  37.8  46
5 0 1  62.9  32

Crystal structure
Unit cell a=7.531 b=7.531 c=7.531 alpha=90.00 beta=90.00 gamma=90.00
Space group P2_13 (No. 198)
Asymmetric unit:
In  0.205  0.205  0.205
Te  0.063  0.563  0.937
Pb  0.222  0.778  0.278

***

For Dy4Er3Cd4, a GGA-PBE-relaxed structure gives the calculated XRD peak list in this record (CuKα).
Neutral-atom scattering factors, no anomalous dispersion.

Most intense lines, 10° ≤ 2θ ≤ 80°, low angle first:
index  2θ/deg  intensity
1 0 7  31.9  46
1 1 4  32.6  100
0 2 0  33.8  47
0 1 11  34.1  90
1 2 7  47.1  31
0 3 11  60.5  35

Crystal structure
Unit cell a=3.476 b=5.311 c=33.346 alpha=90.00 beta=90.00 gamma=90.00
Space group Immm (No. 71)
Asymmetric unit:
Dy  0.000  0.000  0.091
Dy  0.000  0.500  0.232
Er  0.000  0.000  0.363
Er  0.000  0.500  0.500
Cd  0.000  0.000  0.182
Cd  0.000  0.500  0.044

***

For Nd11Y9Ho4, a GGA-PBE-relaxed structure gives the calculated XRD peak list in this record (CuKα).
Neutral-atom scattering factors, no anomalous dispersion.

Most intense lines, 10° ≤ 2θ ≤ 80°, low angle first:
index  2θ/deg  intensity
4 6 0  29.5  82
2 4 1  29.9  31
3 3 1  30.8  33
0 6 1  32.0  87
4 0 1  32.1  100
3 5 1  33.8  27

Crystal structure
Unit cell a=17.066 b=25.838 c=3.677 alpha=90.00 beta=90.00 gamma=90.00
Space group Cmmm (No. 65)
Asymmetric unit:
Nd  0.000  0.000  0.000
Nd  0.000  0.160  0.000
Nd  0.000  0.369  0.000
Nd  0.207  0.500  0.000
Nd  0.225  0.181  0.000
Y  0.000  0.500  0.500
Y  0.102  0.267  0.500
Y  0.141  0.073  0.500
Ho  0.157  0.398  0.500

***

For LaNdEr6, a GGA-PBE-relaxed structure gives the calculated XRD peak list in this record (CuKα).
Neutral-atom scattering factors, no anomalous dispersion.

Most intense lines, 10° ≤ 2θ ≤ 80°, low angle first:
index  2θ/deg  intensity
1 1 2  30.7  100
2 0 0  35.6  51
2 2 0  51.3  36
3 1 2  61.0  43
2 2 4  64.0  12
4 0 0  75.5  6

Crystal structure
Unit cell a=5.037 b=5.037 c=10.077 alpha=90.00 beta=90.00 gamma=90.00
Space group P4/mmm (No. 123)
Asymmetric unit:
La  0.000  0.000  0.000
Nd  0.000  0.000  0.500
Er  0.000  0.500  0.252
Er  0.500  0.500  0.000
Er  0.500  0.500  0.500

***

For LiEr3Rh, a GGA-PBE-relaxed structure gives the calculated XRD peak list in this record (CuKα).
Neutral-atom scattering factors, no anomalous dispersion.

Most intense lines, 10° ≤ 2θ ≤ 80°, low angle first:
index  2θ/deg  intensity
2 0 0  11.0  94
1 3 1  31.4  100
5 1 1  32.7  90
3 3 1  35.3  67
2 2 2  35.8  63
4 2 2  40.9  66

Crystal structure
Unit cell a=16.030 b=9.770 c=6.273 alpha=90.00 beta=90.00 gamma=90.00
Space group Cmce (No. 64)
Asymmetric unit:
Li  0.000  0.002  0.189
Er  0.110  0.182  0.502
Er  0.199  0.000  0.000
Rh  0.250  0.250  0.250

***

For La7As5Pb, a GGA-PBE-relaxed structure gives the calculated XRD peak list in this record (CuKα).
Neutral-atom scattering factors, no anomalous dispersion.

Most intense lines, 10° ≤ 2θ ≤ 80°, low angle first:
index  2θ/deg  intensity
2 0 7  27.0  76
3 1 2  28.4  100
3 1 -3  29.4  78
0 2 0  41.2  36
6 0 5  41.3  53
2 2 7  49.9  28

Crystal structure
Unit cell a=14.419 b=4.384 c=26.047 alpha=90.00 beta=90.01 gamma=90.00
Space group C2/m (No. 12)
Asymmetric unit:
La  0.031  0.000  0.250
La  0.090  0.500  0.105
La  0.090  0.500  0.395
La  0.136  0.000  0.965
La  0.137  0.000  0.535
La  0.178  0.500  0.827
La  0.179  0.500  0.673
As  0.000  0.500  0.000
As  0.000  0.500  0.500
As  0.045  0.000  0.643
As  0.045  0.000  0.857
As  0.227  0.000  0.073
As  0.227  0.000  0.427
Pb  0.201  0.500  0.250

***

For TlTe4Mo, a GGA-PBE-relaxed structure gives the calculated XRD peak list in this record (CuKα).
Neutral-atom scattering factors, no anomalous dispersion.

Most intense lines, 10° ≤ 2θ ≤ 80°, low angle first:
index  2θ/deg  intensity
0 2 0  12.9  36
1 1 -2  29.2  66
3 1 -1  29.3  69
2 2 1  32.9  100
2 4 -1  33.1  35
1 3 -2  34.7  49

Crystal structure
Unit cell a=9.432 b=13.748 c=6.283 alpha=90.00 beta=112.76 gamma=90.00
Space group C2/c (No. 15)
Asymmetric unit:
Tl  0.000  0.124  0.250
Te  0.101  0.342  0.560
Te  0.245  0.428  0.142
Mo  0.000  0.499  0.250

***

Please write out number 1 again, unchanged.
For LaNdYHo2, a GGA-PBE-relaxed structure gives the calculated XRD peak list in this record (CuKα).
Neutral-atom scattering factors, no anomalous dispersion.

Most intense lines, 10° ≤ 2θ ≤ 80°, low angle first:
index  2θ/deg  intensity
0 2 0  15.2  53
0 2 2  29.1  59
0 4 0  30.8  69
2 0 2  32.6  100
1 3 2  35.6  58
2 4 2  45.4  69

Crystal structure
Unit cell a=8.437 b=11.622 c=7.243 alpha=90.00 beta=90.00 gamma=90.00
Space group Cmcm (No. 63)
Asymmetric unit:
La  0.000  0.229  0.250
Nd  0.000  0.492  0.250
Y  0.000  0.223  0.750
Ho  0.187  0.000  0.000

***

What did the eighth record say?
For Nd11Y9Ho4, a GGA-PBE-relaxed structure gives the calculated XRD peak list in this record (CuKα).
Neutral-atom scattering factors, no anomalous dispersion.

Most intense lines, 10° ≤ 2θ ≤ 80°, low angle first:
index  2θ/deg  intensity
4 6 0  29.5  82
2 4 1  29.9  31
3 3 1  30.8  33
0 6 1  32.0  87
4 0 1  32.1  100
3 5 1  33.8  27

Crystal structure
Unit cell a=17.066 b=25.838 c=3.677 alpha=90.00 beta=90.00 gamma=90.00
Space group Cmmm (No. 65)
Asymmetric unit:
Nd  0.000  0.000  0.000
Nd  0.000  0.160  0.000
Nd  0.000  0.369  0.000
Nd  0.207  0.500  0.000
Nd  0.225  0.181  0.000
Y  0.000  0.500  0.500
Y  0.102  0.267  0.500
Y  0.141  0.073  0.500
Ho  0.157  0.398  0.500